For Tm2FeC4, a cell relaxed with PBE gives the simulated PXRD pattern in this record (Cu Kα (weighted mean of Kα1 and Kα2)).
Peak positions follow from Bragg's law for the DFT cell and can differ from measured ones.

Lattice parameters (Å, degrees): 7.449 9.421 4.972 90.00 90.00 90.00
Space group Ibam (No. 72)
One atom of each set of equivalent atoms:
Tm1 0.155 0.145 0.000 (multiplicity 8)
Fe1 0.000 0.500 0.250 (multiplicity 4)
C1 0.160 0.130 0.500 (multiplicity 8)
C2 0.167 0.422 0.000 (multiplicity 8)

Top 12 peaks for 10° ≤ 2θ ≤ 80°, most intense first:
hkl	2θ (°)	I (rel.)
1 2 1	28.7	100
2 1 1	31.5	84
1 3 0	30.9	45
3 3 2	60.4	31
3 1 0	37.5	30
0 0 2	36.1	26
1 1 2	39.4	24
0 4 2	53.6	23
2 5 1	57.9	22
3 3 0	46.6	16
0 4 0	38.2	15
5 2 1	68.7	14